Computed powder diffraction line list
Compound: LiSbTe3O12
Radiation: Cu Kα
Structure: DFT lattice parameters and positions (GGA-PBE)
Kinematic intensities with the Lorentz-polarization factor, no thermal factor.

Cell and atoms:
Lattice parameters (Å, degrees): 4.9337 8.5052 5.2541 90.00 90.26 90.00
Space group P2 (No. 3)
One atom of each set of equivalent atoms:
Li  0.0000  0.0000  0.0000 (multiplicity 1)
Sb  0.5000  0.1072  0.5000 (multiplicity 1)
Te  0.0000  0.6027  0.0000 (multiplicity 1)
Te  0.0000  0.7887  0.5000 (multiplicity 1)
Te  0.5000  0.2915  0.0000 (multiplicity 1)
O  0.2044  0.7782  0.8219 (multiplicity 2)
O  0.2088  0.6229  0.3167 (multiplicity 2)
O  0.2383  0.9468  0.3566 (multiplicity 2)
O  0.2538  0.4535  0.8599 (multiplicity 2)
O  0.2834  0.1272  0.8223 (multiplicity 2)
O  0.2891  0.2748  0.3057 (multiplicity 2)

Peak list (10 most intense, 15 to 90 degrees two-theta, in order of rising 2θ)
19.86°, rel. 42, hkl 0 1 1; 20.82°, rel. 100, hkl 1 1 0; 32.61°, rel. 59, hkl 1 2 1; 36.00°, rel. 18, hkl 0 3 1; 40.24°, rel. 13, hkl 1 1 -2; 40.38°, rel. 15, hkl 1 1 2; 49.82°, rel. 10, hkl 1 4 -1; 52.08°, rel. 13, hkl 2 3 -1; 52.20°, rel. 12, hkl 2 3 1; 57.26°, rel. 11, hkl 1 5 0